Structure and theoretical X-ray powder pattern of Tm5Co4Au (a structure optimized by DFT (GGA-PBE); Cu Ka).

Cell and atoms:
```
data_Tm5Co4Au
_symmetry_space_group_name_H-M 'P 4/m m m'
_symmetry_Int_Tables_number 123
_symmetry_space_group_name_Hall '-P 4 2'
_cell_length_a 3.3084
_cell_length_b 3.3084
_cell_length_c 17.0838
_cell_angle_alpha 90.00
_cell_angle_beta 90.00
_cell_angle_gamma 90.00
loop_
_atom_site_label
_atom_site_type_symbol
_atom_site_fract_x
_atom_site_fract_y
_atom_site_fract_z
Tm1 Tm 0.0000 0.0000 0.0000
Tm2 Tm 0.0000 0.0000 0.1908
Tm3 Tm 0.0000 0.0000 0.3828
Co1 Co 0.5000 0.5000 0.0960
Co2 Co 0.5000 0.5000 0.2897
Au1 Au 0.5000 0.5000 0.5000
```

Top 8 peaks for 2θ = 10–90°, most intense first:
Position (°2θ), d_spacing, Rel. int.
37.85, 2.377, 100
38.48, 2.339, 53
69.19, 1.358, 34
55.56, 1.654, 18
67.94, 1.380, 13
26.95, 3.308, 12
34.29, 2.615, 8
80.89, 1.188, 8

=====

Structure and theoretical X-ray powder pattern of Tb2ErAl3Ga6 (a structure optimized by DFT (GGA-PBE); Cu Ka).

Cell and atoms:
```
data_Tb2ErAl3Ga6
_symmetry_space_group_name_H-M 'P 4/m m m'
_symmetry_Int_Tables_number 123
_symmetry_space_group_name_Hall '-P 4 2'
_cell_length_a 4.0790
_cell_length_b 4.0790
_cell_length_c 17.3846
_cell_angle_alpha 90.00
_cell_angle_beta 90.00
_cell_angle_gamma 90.00
loop_
_atom_site_label
_atom_site_type_symbol
_atom_site_fract_x
_atom_site_fract_y
_atom_site_fract_z
Tb1 Tb 0.0000 0.0000 0.2214
Er1 Er 0.0000 0.0000 0.5000
Al1 Al 0.5000 0.5000 0.0000
Al2 Al 0.5000 0.5000 0.2777
Ga1 Ga 0.0000 0.5000 0.3740
Ga2 Ga 0.5000 0.5000 0.1380
```

Top 8 peaks for 2θ = 10–90°, most intense first:
Position (°2θ), d_spacing, Rel. int.
34.74, 2.582, 100
30.05, 2.974, 88
37.42, 2.403, 86
42.62, 2.121, 71
44.42, 2.039, 67
63.25, 1.470, 44
22.39, 3.971, 41
10.18, 8.692, 41

=====

Structure and theoretical X-ray powder pattern of LuMnPdRu (a structure optimized by DFT (GGA-PBE); Cu Ka).

Cell and atoms:
```
data_LuMnPdRu
_symmetry_space_group_name_H-M 'F -4 3 m'
_symmetry_Int_Tables_number 216
_symmetry_space_group_name_Hall 'F -4 2 3'
_cell_length_a 6.4400
_cell_length_b 6.4400
_cell_length_c 6.4400
_cell_angle_alpha 90.00
_cell_angle_beta 90.00
_cell_angle_gamma 90.00
loop_
_atom_site_label
_atom_site_type_symbol
_atom_site_fract_x
_atom_site_fract_y
_atom_site_fract_z
Lu1 Lu 0.0000 0.0000 0.0000
Mn1 Mn 0.0000 0.0000 0.5000
Pd1 Pd 0.2500 0.2500 0.2500
Ru1 Ru 0.2500 0.2500 0.7500
```

Top 8 peaks for 2θ = 10–90°, most intense first:
Position (°2θ), d_spacing, Rel. int.
39.58, 2.277, 100
71.81, 1.315, 33
23.93, 3.718, 17
57.22, 1.610, 17
85.25, 1.138, 11
46.78, 1.942, 9
62.91, 1.477, 4
76.93, 1.239, 3

=====

Structure and theoretical X-ray powder pattern of Dy2Er7Tc2 (a structure optimized by DFT (GGA-PBE); Cu Ka).

Cell and atoms:
```
data_Dy2Er7Tc2
_symmetry_space_group_name_H-M 'I m m 2'
_symmetry_Int_Tables_number 44
_symmetry_space_group_name_Hall 'I 2 -2'
_cell_length_a 3.5341
_cell_length_b 18.9657
_cell_length_c 9.3115
_cell_angle_alpha 90.00
_cell_angle_beta 90.00
_cell_angle_gamma 90.00
loop_
_atom_site_label
_atom_site_type_symbol
_atom_site_fract_x
_atom_site_fract_y
_atom_site_fract_z
Dy1 Dy 0.0000 0.2450 0.0000
Er1 Er 0.0000 0.1151 0.3056
Er2 Er 0.0000 0.1382 0.7003
Er3 Er 0.0000 0.4182 0.4863
Er4 Er 0.0000 0.5000 0.0399
Tc1 Tc 0.0000 0.0000 0.7820
Tc2 Tc 0.0000 0.5000 0.7384
```

Top 8 peaks for 2θ = 10–90°, most intense first:
Position (°2θ), d_spacing, Rel. int.
32.14, 2.785, 100
33.04, 2.711, 85
38.64, 2.330, 42
26.84, 3.322, 38
39.85, 2.262, 37
28.94, 3.085, 36
55.26, 1.662, 35
34.29, 2.615, 31